Theoretical powder X-ray diffraction pattern of Mg2UVO6 for Cu Kα, 1.54184 Å, from a PBE+U-relaxed structure.

Largest 10 diffraction maxima, by angle, 5 to 70 degrees two-theta:
| Position (°2θ) | d/Å | intensity | h k l |
| --- | --- | --- | --- |
| 16.2 | 5.478 | 67 | 1 0 0 |
| 18.3 | 4.849 | 68 | 0 0 1 |
| 23.0 | 3.873 | 75 | 1 1 0 |
| 24.5 | 3.631 | 50 | 1 0 1 |
| 29.5 | 3.026 | 100 | 1 1 1 |
| 32.7 | 2.739 | 40 | 2 0 0 |
| 41.3 | 2.186 | 29 | 2 1 1 |
| 44.1 | 2.055 | 36 | 1 1 2 |
| 46.9 | 1.937 | 29 | 2 2 0 |
| 56.4 | 1.631 | 33 | 3 1 1 |

Structural model:
Cell lengths 5.478, 5.478, 4.849 Å; angles 90.00, 90.00, 90.00 degrees
Sites, in units of the cell vectors:
1 Mg 0.000 0.500 0.000
2 Mg 0.500 0.000 0.000
3 U 0.000 0.000 0.649
4 V 0.500 0.500 0.686
5 O 0.000 0.000 0.234
6 O 0.261 0.261 0.829
7 O 0.261 0.739 0.829
8 O 0.500 0.500 0.338
9 O 0.739 0.261 0.829
10 O 0.739 0.739 0.829